[1]
Diffraction record for Mn5NiO12. The powder diffractogram is calculated, not measured: it uses a DFT-relaxed cell (GGA+U, the Materials Project) and Cu Kα (λ = 1.5418 Å).

Atomic structure:
```
data_Mn5NiO12
_symmetry_space_group_name_H-M 'C 1 2/m 1'
_symmetry_Int_Tables_number 12
_cell_length_a 5.025
_cell_length_b 8.715
_cell_length_c 9.710
_cell_angle_alpha 90.00
_cell_angle_beta 90.01
_cell_angle_gamma 90.00
loop_
_symmetry_equiv_pos_as_xyz
'x,y,z'
'-x,-y,-z'
'-x,y,-z'
'x,-y,z'
'x+1/2,y+1/2,z'
'-x+1/2,-y+1/2,-z'
'-x+1/2,y+1/2,-z'
'x+1/2,-y+1/2,z'
loop_
_atom_site_label
_atom_site_type_symbol
_atom_site_fract_x
_atom_site_fract_y
_atom_site_fract_z
Mn1 Mn 0.000 0.000 0.000
Mn2 Mn 0.000 0.167 0.500
Mn3 Mn 0.000 0.333 0.000
Ni1 Ni 0.000 0.500 0.500
O1 O 0.164 0.336 0.403
O2 O 0.167 0.167 0.099
O3 O 0.167 0.500 0.099
O4 O 0.172 0.000 0.403
```

Most intense lines, 5 to 70 degrees two-theta, in order of rising 2θ:
2theta, I/Imax, h k l
18.27, 100, 0 0 2
35.74, 6, 2 0 0
36.92, 28, 1 3 1
40.41, 21, 2 0 -2
45.69, 29, 1 3 -3
52.41, 12, 2 0 4
60.20, 14, 1 3 -5
64.99, 14, 3 3 1
67.28, 4, 0 6 2
69.03, 5, 2 0 6



[2]
Diffraction record for Mn2NiO14. The powder diffractogram is calculated, not measured: it uses a DFT-relaxed cell (GGA+U, the Materials Project) and Cu Kα (λ = 1.5418 Å).

Atomic structure:
```
data_Mn2NiO14
_symmetry_space_group_name_H-M 'C 1 m 1'
_symmetry_Int_Tables_number 8
_cell_length_a 13.214
_cell_length_b 7.860
_cell_length_c 5.209
_cell_angle_alpha 90.00
_cell_angle_beta 91.24
_cell_angle_gamma 90.00
loop_
_symmetry_equiv_pos_as_xyz
'x,y,z'
'x,-y,z'
'x+1/2,y+1/2,z'
'x+1/2,-y+1/2,z'
loop_
_atom_site_label
_atom_site_type_symbol
_atom_site_fract_x
_atom_site_fract_y
_atom_site_fract_z
Mn1 Mn 0.000 0.000 0.000
Mn2 Mn 0.167 0.500 0.508
Ni1 Ni 0.333 0.000 0.241
O1 O 0.057 0.167 0.105
O2 O 0.109 0.333 0.606
O3 O 0.166 0.500 0.195
O4 O 0.240 0.000 0.499
O5 O 0.283 0.500 0.613
O6 O 0.297 0.162 0.010
O7 O 0.370 0.162 0.474
O8 O 0.382 0.500 0.092
O9 O 0.428 0.000 0.986
O10 O 0.499 0.500 0.688
```

Most intense lines, 5 to 70 degrees two-theta, in order of rising 2θ:
2theta, I/Imax, h k l
17.03, 9, 0 0 1
21.43, 79, 1 1 -1
21.96, 40, 2 0 1
22.62, 47, 0 2 0
23.15, 100, 3 1 0
31.75, 49, 2 2 1
34.45, 12, 0 0 2
47.32, 8, 6 2 0
49.99, 9, 1 3 2
52.50, 18, 5 3 1



[3]
Diffraction record for Mn2NiO4. The powder diffractogram is calculated, not measured: it uses a DFT-relaxed cell (GGA+U, the Materials Project) and Cu Kα (λ = 1.5418 Å).

Atomic structure:
```
data_Mn2NiO4
_symmetry_space_group_name_H-M 'C 1 c 1'
_symmetry_Int_Tables_number 9
_cell_length_a 8.282
_cell_length_b 8.266
_cell_length_c 6.190
_cell_angle_alpha 90.00
_cell_angle_beta 131.85
_cell_angle_gamma 90.00
loop_
_symmetry_equiv_pos_as_xyz
'x,y,z'
'x,-y,z+1/2'
'x+1/2,y+1/2,z'
'x+1/2,-y+1/2,z+1/2'
loop_
_atom_site_label
_atom_site_type_symbol
_atom_site_fract_x
_atom_site_fract_y
_atom_site_fract_z
Mn1 Mn 0.000 0.000 0.000
Mn2 Mn 0.251 0.251 0.499
Ni1 Ni 0.498 0.125 0.246
O1 O 0.015 0.237 0.500
O2 O 0.236 0.015 0.500
O3 O 0.268 0.489 0.511
O4 O 0.494 0.261 0.510
```

Most intense lines, 5 to 70 degrees two-theta, in order of rising 2θ:
2theta, I/Imax, h k l
29.00, 40, 2 0 0
30.56, 18, 2 2 -1
32.91, 74, 1 1 1
35.67, 100, 1 3 -1
43.76, 16, 0 4 0
51.98, 20, 1 1 2
57.63, 16, 5 1 -2
57.74, 16, 1 5 0
60.13, 41, 0 4 2
63.62, 22, 4 4 -2



[4]
Diffraction record for Mn2NiO4. The powder diffractogram is calculated, not measured: it uses a DFT-relaxed cell (GGA+U, the Materials Project) and Cu Kα (λ = 1.5418 Å).

Atomic structure:
```
data_Mn2NiO4
_symmetry_space_group_name_H-M 'F d d 2'
_symmetry_Int_Tables_number 43
_symmetry_space_group_name_Hall 'F 2 -2d'
_cell_length_a 8.352
_cell_length_b 9.452
_cell_length_c 8.053
_cell_angle_alpha 90.00
_cell_angle_beta 90.00
_cell_angle_gamma 90.00
loop_
_atom_site_label
_atom_site_type_symbol
_atom_site_fract_x
_atom_site_fract_y
_atom_site_fract_z
Mn1 Mn 0.121 0.126 0.000
Ni1 Ni 0.000 0.000 0.383
O1 O 0.106 0.116 0.756
O2 O 0.114 0.379 0.492
```

Most intense lines, 5 to 70 degrees two-theta, in order of rising 2θ:
2theta, I/Imax, h k l
28.52, 29, 2 2 0
29.14, 27, 0 2 2
30.85, 24, 2 0 2
32.34, 100, 1 3 1
35.41, 67, 3 1 1
36.41, 86, 1 1 3
50.80, 31, 1 5 1
59.04, 39, 4 4 0
60.40, 37, 0 4 4
64.27, 29, 4 0 4



[5]
Diffraction record for Mn2NiO14. The powder diffractogram is calculated, not measured: it uses a DFT-relaxed cell (GGA+U, the Materials Project) and Cu Kα (λ = 1.5418 Å).

Atomic structure:
```
data_Mn2NiO14
_symmetry_space_group_name_H-M 'P 3 m 1'
_symmetry_Int_Tables_number 156
_cell_length_a 7.6256
_cell_length_b 7.6256
_cell_length_c 4.4804
_cell_angle_alpha 90.00
_cell_angle_beta 90.00
_cell_angle_gamma 120.00
loop_
_symmetry_equiv_pos_as_xyz
'x,y,z'
'-y,x-y,z'
'-x+y,-x,z'
'-y,-x,z'
'-x+y,y,z'
'x,x-y,z'
loop_
_atom_site_label
_atom_site_type_symbol
_atom_site_fract_x
_atom_site_fract_y
_atom_site_fract_z
Mn1 Mn 0.0000 0.0000 0.0000
Mn2 Mn 0.3333 0.6667 0.5070
Ni1 Ni 0.6667 0.3333 0.2615
O1 O 0.0000 0.0000 0.3612
O2 O 0.1182 0.2364 0.8914
O3 O 0.2173 0.4347 0.3988
O4 O 0.3333 0.6667 0.8690
O5 O 0.4671 0.2335 0.5619
O6 O 0.5638 0.1277 0.9734
```

Most intense lines, 5 to 70 degrees two-theta, in order of rising 2θ:
2theta, I/Imax, h k l
23.33, 100, 1 1 0
24.00, 50, 1 0 1
33.72, 34, 0 2 1
41.41, 15, 2 1 1
47.71, 12, 2 2 0
49.15, 8, 2 0 2
54.09, 19, 1 3 1
55.08, 16, 2 1 2
64.68, 8, 4 1 0
65.87, 8, 3 1 2



[6]
Diffraction record for Mn3NiO4. The powder diffractogram is calculated, not measured: it uses a DFT-relaxed cell (GGA+U, the Materials Project) and Cu Kα (λ = 1.5418 Å).

Atomic structure:
```
data_Mn3NiO4
_symmetry_space_group_name_H-M 'P 4/m m m'
_symmetry_Int_Tables_number 123
_symmetry_space_group_name_Hall '-P 4 2'
_cell_length_a 3.149
_cell_length_b 3.149
_cell_length_c 8.891
_cell_angle_alpha 90.00
_cell_angle_beta 90.00
_cell_angle_gamma 90.00
loop_
_atom_site_label
_atom_site_type_symbol
_atom_site_fract_x
_atom_site_fract_y
_atom_site_fract_z
Mn1 Mn 0.000 0.000 0.000
Mn2 Mn 0.500 0.500 0.256
Ni1 Ni 0.000 0.000 0.500
O1 O 0.000 0.000 0.258
O2 O 0.500 0.500 0.000
O3 O 0.500 0.500 0.500
```

Most intense lines, 5 to 70 degrees two-theta, in order of rising 2θ:
2theta, I/Imax, h k l
9.95, 2, 0 0 1
34.92, 65, 1 0 2
40.54, 100, 1 1 0
41.85, 1, 1 0 3
58.68, 58, 2 0 0



[7]
Diffraction record for MnNi7O8. The powder diffractogram is calculated, not measured: it uses a DFT-relaxed cell (GGA+U, the Materials Project) and Cu Kα (λ = 1.5418 Å).

Atomic structure:
```
data_MnNi7O8
_symmetry_space_group_name_H-M 'F m -3 m'
_symmetry_Int_Tables_number 225
_symmetry_space_group_name_Hall '-F 4 2 3'
_cell_length_a 8.525
_cell_length_b 8.525
_cell_length_c 8.525
_cell_angle_alpha 90.00
_cell_angle_beta 90.00
_cell_angle_gamma 90.00
loop_
_atom_site_label
_atom_site_type_symbol
_atom_site_fract_x
_atom_site_fract_y
_atom_site_fract_z
Mn1 Mn 0.000 0.000 0.000
Ni1 Ni 0.000 0.000 0.500
Ni2 Ni 0.000 0.250 0.250
O1 O 0.000 0.000 0.255
O2 O 0.250 0.250 0.250
```

Most intense lines, 5 to 70 degrees two-theta, in order of rising 2θ:
2theta, I/Imax, h k l
36.51, 74, 2 2 2
42.41, 100, 4 0 0
61.54, 58, 4 4 0



[8]
Diffraction record for MnNiO2. The powder diffractogram is calculated, not measured: it uses a DFT-relaxed cell (GGA+U, the Materials Project) and Cu Kα (λ = 1.5418 Å).

Atomic structure:
```
data_MnNiO2
_symmetry_space_group_name_H-M 'P 4/m m m'
_symmetry_Int_Tables_number 123
_symmetry_space_group_name_Hall '-P 4 2'
_cell_length_a 3.094
_cell_length_b 3.094
_cell_length_c 4.374
_cell_angle_alpha 90.00
_cell_angle_beta 90.00
_cell_angle_gamma 90.00
loop_
_atom_site_label
_atom_site_type_symbol
_atom_site_fract_x
_atom_site_fract_y
_atom_site_fract_z
Mn1 Mn 0.000 0.000 0.000
Ni1 Ni 0.500 0.500 0.500
O1 O 0.000 0.000 0.500
O2 O 0.500 0.500 0.000
```

Most intense lines, 5 to 70 degrees two-theta, in order of rising 2θ:
2theta, I/Imax, h k l
20.30, 1, 0 0 1
28.85, 1, 1 0 0
35.54, 68, 1 0 1
41.27, 100, 1 1 0
59.78, 58, 2 0 0



[9]
Diffraction record for Mn4NiO8. The powder diffractogram is calculated, not measured: it uses a DFT-relaxed cell (GGA+U, the Materials Project) and Cu Kα (λ = 1.5418 Å).

Atomic structure:
```
data_Mn4NiO8
_symmetry_space_group_name_H-M 'C 1 2/m 1'
_symmetry_Int_Tables_number 12
_cell_length_a 10.339
_cell_length_b 5.805
_cell_length_c 5.945
_cell_angle_alpha 90.00
_cell_angle_beta 123.26
_cell_angle_gamma 90.00
loop_
_symmetry_equiv_pos_as_xyz
'x,y,z'
'-x,-y,-z'
'-x,y,-z'
'x,-y,z'
'x+1/2,y+1/2,z'
'-x+1/2,-y+1/2,-z'
'-x+1/2,y+1/2,-z'
'x+1/2,-y+1/2,z'
loop_
_atom_site_label
_atom_site_type_symbol
_atom_site_fract_x
_atom_site_fract_y
_atom_site_fract_z
Mn1 Mn 0.000 0.000 0.000
Mn2 Mn 0.000 0.500 0.500
Mn3 Mn 0.250 0.250 0.000
Ni1 Ni 0.000 0.500 0.000
O1 O 0.028 0.247 0.795
O2 O 0.231 0.500 0.194
O3 O 0.244 0.500 0.776
```

Most intense lines, 5 to 70 degrees two-theta, in order of rising 2θ:
2theta, I/Imax, h k l
17.84, 100, 0 0 1
18.40, 27, 1 1 0
36.12, 31, 0 0 2
37.30, 25, 2 2 0
41.80, 36, 4 0 0
43.59, 66, 2 2 -2
57.02, 10, 2 2 -3
61.21, 18, 2 2 2
62.74, 18, 6 2 -2
64.18, 10, 0 4 0



[10]
Diffraction record for Mn2NiO4. The powder diffractogram is calculated, not measured: it uses a DFT-relaxed cell (GGA+U, the Materials Project) and Cu Kα (λ = 1.5418 Å).

Atomic structure:
```
data_Mn2NiO4
_symmetry_space_group_name_H-M 'I m m a'
_symmetry_Int_Tables_number 74
_symmetry_space_group_name_Hall '-I 2b 2'
_cell_length_a 5.990
_cell_length_b 6.018
_cell_length_c 8.563
_cell_angle_alpha 90.00
_cell_angle_beta 90.00
_cell_angle_gamma 90.00
loop_
_atom_site_label
_atom_site_type_symbol
_atom_site_fract_x
_atom_site_fract_y
_atom_site_fract_z
Mn1 Mn 0.000 0.250 0.115
Mn2 Mn 0.250 0.250 0.750
Ni1 Ni 0.000 0.000 0.500
O1 O 0.000 0.033 0.747
O2 O 0.231 0.250 0.524
```

Most intense lines, 5 to 70 degrees two-theta, in order of rising 2θ:
2theta, I/Imax, h k l
18.04, 25, 0 1 1
29.64, 32, 1 1 2
34.80, 50, 1 0 3
35.02, 100, 1 2 1
42.22, 12, 0 0 4
42.59, 23, 2 2 0
55.82, 16, 1 0 5
56.23, 20, 2 3 1
56.33, 17, 3 2 1
61.52, 45, 2 2 4



Question: Number 4 is which compound?
Answer: Mn2NiO4



What did the tenth record say?
Diffraction record for Mn2NiO4. The powder diffractogram is calculated, not measured: it uses a DFT-relaxed cell (GGA+U, the Materials Project) and Cu Kα (λ = 1.5418 Å).

Atomic structure:
```
data_Mn2NiO4
_symmetry_space_group_name_H-M 'I m m a'
_symmetry_Int_Tables_number 74
_symmetry_space_group_name_Hall '-I 2b 2'
_cell_length_a 5.990
_cell_length_b 6.018
_cell_length_c 8.563
_cell_angle_alpha 90.00
_cell_angle_beta 90.00
_cell_angle_gamma 90.00
loop_
_atom_site_label
_atom_site_type_symbol
_atom_site_fract_x
_atom_site_fract_y
_atom_site_fract_z
Mn1 Mn 0.000 0.250 0.115
Mn2 Mn 0.250 0.250 0.750
Ni1 Ni 0.000 0.000 0.500
O1 O 0.000 0.033 0.747
O2 O 0.231 0.250 0.524
```

Most intense lines, 5 to 70 degrees two-theta, in order of rising 2θ:
2theta, I/Imax, h k l
18.04, 25, 0 1 1
29.64, 32, 1 1 2
34.80, 50, 1 0 3
35.02, 100, 1 2 1
42.22, 12, 0 0 4
42.59, 23, 2 2 0
55.82, 16, 1 0 5
56.23, 20, 2 3 1
56.33, 17, 3 2 1
61.52, 45, 2 2 4



Please write out number 3 again, unchanged.
Diffraction record for Mn2NiO4. The powder diffractogram is calculated, not measured: it uses a DFT-relaxed cell (GGA+U, the Materials Project) and Cu Kα (λ = 1.5418 Å).

Atomic structure:
```
data_Mn2NiO4
_symmetry_space_group_name_H-M 'C 1 c 1'
_symmetry_Int_Tables_number 9
_cell_length_a 8.282
_cell_length_b 8.266
_cell_length_c 6.190
_cell_angle_alpha 90.00
_cell_angle_beta 131.85
_cell_angle_gamma 90.00
loop_
_symmetry_equiv_pos_as_xyz
'x,y,z'
'x,-y,z+1/2'
'x+1/2,y+1/2,z'
'x+1/2,-y+1/2,z+1/2'
loop_
_atom_site_label
_atom_site_type_symbol
_atom_site_fract_x
_atom_site_fract_y
_atom_site_fract_z
Mn1 Mn 0.000 0.000 0.000
Mn2 Mn 0.251 0.251 0.499
Ni1 Ni 0.498 0.125 0.246
O1 O 0.015 0.237 0.500
O2 O 0.236 0.015 0.500
O3 O 0.268 0.489 0.511
O4 O 0.494 0.261 0.510
```

Most intense lines, 5 to 70 degrees two-theta, in order of rising 2θ:
2theta, I/Imax, h k l
29.00, 40, 2 0 0
30.56, 18, 2 2 -1
32.91, 74, 1 1 1
35.67, 100, 1 3 -1
43.76, 16, 0 4 0
51.98, 20, 1 1 2
57.63, 16, 5 1 -2
57.74, 16, 1 5 0
60.13, 41, 0 4 2
63.62, 22, 4 4 -2